[1]
The following is a calculated powder X-ray diffraction pattern of GdH9C5N2O8. It was derived from DFT lattice parameters and positions (GGA-PBE), using copper Kα.
Neutral-atom scattering factors, no anomalous dispersion.

Largest 6 diffraction maxima, low angle first, 10 to 90 degrees two-theta:
| Position (°2θ) | d/Å | intensity |
| --- | --- | --- |
| 14.1 | 6.263 | 43 |
| 14.6 | 6.073 | 100 |
| 16.4 | 5.413 | 31 |
| 18.3 | 4.846 | 51 |
| 22.2 | 3.996 | 40 |
| 29.5 | 3.032 | 44 |

Structural model:
```
data_GdH9C5N2O8
_symmetry_space_group_name_H-M 'P 1'
_symmetry_Int_Tables_number 1
_cell_length_a 6.8250
_cell_length_b 6.8250
_cell_length_c 6.6600
_cell_angle_alpha 106.66
_cell_angle_beta 106.66
_cell_angle_gamma 65.01
loop_
_symmetry_equiv_pos_as_xyz
'x,y,z'
loop_
_atom_site_label
_atom_site_type_symbol
_atom_site_fract_x
_atom_site_fract_y
_atom_site_fract_z
_atom_site_occupancy
Gd1 Gd 0.0000 0.0000 0.0000 1
H1 H 0.0745 0.9255 0.5000 1
H2 H 0.2074 0.3643 0.4032 1
H3 H 0.4383 0.5367 0.8245 1
H4 H 0.4633 0.5617 0.1755 1
H5 H 0.4652 0.1626 0.1140 1
H6 H 0.4891 0.2695 0.5344 1
H7 H 0.6357 0.7926 0.5968 1
H8 H 0.7305 0.5109 0.4656 1
H9 H 0.8374 0.5348 0.8860 1
C1 C 0.2896 0.5345 0.7033 1
C2 C 0.4655 0.7104 0.2967 1
C3 C 0.4704 0.0495 0.9565 1
C4 C 0.9243 0.0757 0.5000 1
C5 C 0.9505 0.5296 0.0435 1
N1 N 0.3295 0.3756 0.5344 1
N2 N 0.6244 0.6705 0.4656 1
O1 O 0.0014 0.3628 0.1262 1
O2 O 0.0191 0.6847 0.1281 1
O3 O 0.1020 0.6742 0.7306 1
O4 O 0.3153 0.9809 0.8719 1
O5 O 0.3258 0.8980 0.2694 1
O6 O 0.6372 0.9986 0.8738 1
O7 O 0.8376 0.1504 0.6656 1
O8 O 0.8496 0.1624 0.3344 1
```



[2]
The following is a calculated powder X-ray diffraction pattern of GePtAuO. It was derived from DFT lattice parameters and positions (GGA-PBE), using copper Kα.
Neutral-atom scattering factors, no anomalous dispersion.

Largest 6 diffraction maxima, low angle first, 10 to 90 degrees two-theta:
| Position (°2θ) | d/Å | intensity |
| --- | --- | --- |
| 12.8 | 6.900 | 100 |
| 29.5 | 3.031 | 69 |
| 35.9 | 2.498 | 49 |
| 36.4 | 2.466 | 100 |
| 51.1 | 1.787 | 34 |
| 53.4 | 1.715 | 51 |

Structural model:
```
data_GePtAuO
_symmetry_space_group_name_H-M 'P 1'
_symmetry_Int_Tables_number 1
_cell_length_a 3.7343
_cell_length_b 3.7343
_cell_length_c 6.9070
_cell_angle_alpha 92.45
_cell_angle_beta 92.45
_cell_angle_gamma 44.63
loop_
_symmetry_equiv_pos_as_xyz
'x,y,z'
loop_
_atom_site_label
_atom_site_type_symbol
_atom_site_fract_x
_atom_site_fract_y
_atom_site_fract_z
_atom_site_occupancy
Ge1 Ge 0.0000 0.0000 0.0000 1
Pt1 Pt 0.7113 0.7113 0.7871 1
Au1 Au 0.4010 0.4010 0.4995 1
O1 O 0.4933 0.4933 0.1763 1
```



[3]
The following is a calculated powder X-ray diffraction pattern of Sm5Pd2Pt. It was derived from DFT lattice parameters and positions (GGA-PBE), using copper Kα.
Neutral-atom scattering factors, no anomalous dispersion.

Largest 6 diffraction maxima, low angle first, 10 to 90 degrees two-theta:
| Position (°2θ) | d/Å | intensity |
| --- | --- | --- |
| 29.2 | 3.063 | 25 |
| 32.3 | 2.768 | 100 |
| 33.9 | 2.645 | 45 |
| 34.2 | 2.621 | 17 |
| 38.4 | 2.344 | 52 |
| 54.2 | 1.693 | 15 |

Structural model:
```
data_Sm5Pd2Pt
_symmetry_space_group_name_H-M 'P 1'
_symmetry_Int_Tables_number 1
_cell_length_a 9.1912
_cell_length_b 9.1912
_cell_length_c 9.1912
_cell_angle_alpha 132.44
_cell_angle_beta 132.44
_cell_angle_gamma 69.53
loop_
_symmetry_equiv_pos_as_xyz
'x,y,z'
loop_
_atom_site_label
_atom_site_type_symbol
_atom_site_fract_x
_atom_site_fract_y
_atom_site_fract_z
_atom_site_occupancy
Sm1 Sm 0.0000 0.0000 0.0000 1
Sm2 Sm 0.0204 0.5204 0.8381 1
Sm3 Sm 0.1823 0.0204 0.5000 1
Sm4 Sm 0.3177 0.8177 0.8381 1
Sm5 Sm 0.4796 0.3177 0.5000 1
Sm6 Sm 0.5000 0.5000 0.0000 1
Sm7 Sm 0.5204 0.6823 0.5000 1
Sm8 Sm 0.6823 0.1823 0.1619 1
Sm9 Sm 0.8177 0.9796 0.5000 1
Sm10 Sm 0.9796 0.4796 0.1619 1
Pd1 Pd 0.1321 0.3679 0.5000 1
Pd2 Pd 0.3679 0.8679 0.2359 1
Pd3 Pd 0.6321 0.1321 0.7641 1
Pd4 Pd 0.8679 0.6321 0.5000 1
Pt1 Pt 0.2500 0.2500 0.0000 1
Pt2 Pt 0.7500 0.7500 0.0000 1
```



[4]
The following is a calculated powder X-ray diffraction pattern of AcLaTe2N. It was derived from DFT lattice parameters and positions (GGA-PBE), using copper Kα.
Neutral-atom scattering factors, no anomalous dispersion.

Largest 6 diffraction maxima, low angle first, 10 to 90 degrees two-theta:
| Position (°2θ) | d/Å | intensity |
| --- | --- | --- |
| 22.4 | 3.971 | 33 |
| 27.6 | 3.229 | 100 |
| 34.4 | 2.610 | 73 |
| 35.8 | 2.506 | 36 |
| 39.5 | 2.283 | 42 |
| 53.3 | 1.718 | 42 |

Structural model:
```
data_AcLaTe2N
_symmetry_space_group_name_H-M 'P 1'
_symmetry_Int_Tables_number 1
_cell_length_a 4.5665
_cell_length_b 4.5665
_cell_length_c 15.9001
_cell_angle_alpha 90.00
_cell_angle_beta 90.00
_cell_angle_gamma 90.00
loop_
_symmetry_equiv_pos_as_xyz
'x,y,z'
loop_
_atom_site_label
_atom_site_type_symbol
_atom_site_fract_x
_atom_site_fract_y
_atom_site_fract_z
_atom_site_occupancy
Ac1 Ac 0.2500 0.2500 0.1362 1
Ac2 Ac 0.7500 0.7500 0.8638 1
La1 La 0.2500 0.2500 0.5610 1
La2 La 0.7500 0.7500 0.4390 1
Te1 Te 0.2500 0.2500 0.3314 1
Te2 Te 0.2500 0.2500 0.9114 1
Te3 Te 0.7500 0.7500 0.0886 1
Te4 Te 0.7500 0.7500 0.6686 1
N1 N 0.2500 0.7500 0.5000 1
N2 N 0.7500 0.2500 0.5000 1
```



[5]
The following is a calculated powder X-ray diffraction pattern of RbPmF. It was derived from DFT lattice parameters and positions (GGA-PBE), using copper Kα.
Neutral-atom scattering factors, no anomalous dispersion.

Largest 6 diffraction maxima, low angle first, 10 to 90 degrees two-theta:
| Position (°2θ) | d/Å | intensity |
| --- | --- | --- |
| 23.8 | 3.731 | 100 |
| 27.8 | 3.205 | 57 |
| 28.5 | 3.133 | 100 |
| 28.8 | 3.103 | 46 |
| 33.3 | 2.694 | 86 |
| 41.3 | 2.184 | 66 |

Structural model:
```
data_RbPmF
_symmetry_space_group_name_H-M 'P 1'
_symmetry_Int_Tables_number 1
_cell_length_a 14.9246
_cell_length_b 3.6755
_cell_length_c 3.6755
_cell_angle_alpha 60.68
_cell_angle_beta 90.00
_cell_angle_gamma 90.00
loop_
_symmetry_equiv_pos_as_xyz
'x,y,z'
loop_
_atom_site_label
_atom_site_type_symbol
_atom_site_fract_x
_atom_site_fract_y
_atom_site_fract_z
_atom_site_occupancy
Rb1 Rb 0.1219 0.0000 0.0000 1
Rb2 Rb 0.8781 0.0000 0.0000 1
Pm1 Pm 0.3796 0.3365 0.3365 1
Pm2 Pm 0.6204 0.3365 0.3365 1
F1 F 0.0000 0.3355 0.3355 1
F2 F 0.5000 0.0205 0.0205 1
```



[6]
The following is a calculated powder X-ray diffraction pattern of Tb3Sm2HoBi6. It was derived from DFT lattice parameters and positions (GGA-PBE), using copper Kα.
Neutral-atom scattering factors, no anomalous dispersion.

Largest 6 diffraction maxima, low angle first, 10 to 90 degrees two-theta:
| Position (°2θ) | d/Å | intensity |
| --- | --- | --- |
| 28.0 | 3.188 | 100 |
| 40.0 | 2.255 | 78 |
| 49.5 | 1.841 | 28 |
| 57.8 | 1.594 | 13 |
| 65.5 | 1.426 | 37 |
| 72.6 | 1.302 | 28 |

Structural model:
```
data_Tb3Sm2HoBi6
_symmetry_space_group_name_H-M 'P 1'
_symmetry_Int_Tables_number 1
_cell_length_a 10.0802
_cell_length_b 10.0802
_cell_length_c 9.0188
_cell_angle_alpha 102.88
_cell_angle_beta 102.88
_cell_angle_gamma 25.85
loop_
_symmetry_equiv_pos_as_xyz
'x,y,z'
loop_
_atom_site_label
_atom_site_type_symbol
_atom_site_fract_x
_atom_site_fract_y
_atom_site_fract_z
_atom_site_occupancy
Tb1 Tb 0.0000 0.0000 0.0000 1
Tb2 Tb 0.3323 0.3323 0.6663 1
Tb3 Tb 0.6677 0.6677 0.3337 1
Sm1 Sm 0.3339 0.3339 0.1671 1
Sm2 Sm 0.6661 0.6661 0.8329 1
Ho1 Ho 0.0000 0.0000 0.5000 1
Bi1 Bi 0.1658 0.1658 0.0858 1
Bi2 Bi 0.1657 0.1657 0.5796 1
Bi3 Bi 0.4984 0.4984 0.7476 1
Bi4 Bi 0.5016 0.5016 0.2524 1
Bi5 Bi 0.8343 0.8343 0.4204 1
Bi6 Bi 0.8342 0.8342 0.9142 1
```



[7]
The following is a calculated powder X-ray diffraction pattern of Rb5IrO4F2. It was derived from DFT lattice parameters and positions (GGA-PBE), using copper Kα.
Neutral-atom scattering factors, no anomalous dispersion.

Largest 6 diffraction maxima, low angle first, 10 to 90 degrees two-theta:
| Position (°2θ) | d/Å | intensity |
| --- | --- | --- |
| 15.4 | 5.743 | 19 |
| 26.2 | 3.403 | 31 |
| 27.7 | 3.224 | 68 |
| 28.3 | 3.156 | 100 |
| 39.0 | 2.312 | 46 |
| 50.5 | 1.808 | 23 |

Structural model:
```
data_Rb5IrO4F2
_symmetry_space_group_name_H-M 'P 1'
_symmetry_Int_Tables_number 1
_cell_length_a 7.7932
_cell_length_b 6.3408
_cell_length_c 6.3408
_cell_angle_alpha 115.08
_cell_angle_beta 90.00
_cell_angle_gamma 90.00
loop_
_symmetry_equiv_pos_as_xyz
'x,y,z'
loop_
_atom_site_label
_atom_site_type_symbol
_atom_site_fract_x
_atom_site_fract_y
_atom_site_fract_z
_atom_site_occupancy
Rb1 Rb 0.0000 0.0000 0.0000 1
Rb2 Rb 0.2622 0.2988 0.6660 1
Rb3 Rb 0.2622 0.6660 0.2988 1
Rb4 Rb 0.7378 0.2988 0.6660 1
Rb5 Rb 0.7378 0.6660 0.2988 1
Ir1 Ir 0.5000 0.9871 0.9871 1
O1 O 0.3305 0.1917 0.1917 1
O2 O 0.5000 0.6856 0.9641 1
O3 O 0.5000 0.9641 0.6856 1
O4 O 0.6695 0.1917 0.1917 1
F1 F 0.0000 0.5467 0.9615 1
F2 F 0.0000 0.9615 0.5467 1
```



[8]
The following is a calculated powder X-ray diffraction pattern of Pr3HoSc. It was derived from DFT lattice parameters and positions (GGA-PBE), using copper Kα.
Neutral-atom scattering factors, no anomalous dispersion.

Largest 6 diffraction maxima, low angle first, 10 to 90 degrees two-theta:
| Position (°2θ) | d/Å | intensity |
| --- | --- | --- |
| 28.7 | 3.106 | 57 |
| 29.9 | 2.985 | 80 |
| 30.9 | 2.896 | 66 |
| 31.2 | 2.866 | 100 |
| 31.6 | 2.834 | 81 |
| 33.8 | 2.649 | 48 |

Structural model:
```
data_Pr3HoSc
_symmetry_space_group_name_H-M 'P 1'
_symmetry_Int_Tables_number 1
_cell_length_a 8.8633
_cell_length_b 8.8633
_cell_length_c 9.5170
_cell_angle_alpha 94.58
_cell_angle_beta 94.58
_cell_angle_gamma 116.92
loop_
_symmetry_equiv_pos_as_xyz
'x,y,z'
loop_
_atom_site_label
_atom_site_type_symbol
_atom_site_fract_x
_atom_site_fract_y
_atom_site_fract_z
_atom_site_occupancy
Pr1 Pr 0.0052 0.4325 0.8054 1
Pr2 Pr 0.1129 0.7635 0.5546 1
Pr3 Pr 0.2365 0.8871 0.9454 1
Pr4 Pr 0.2989 0.5137 0.3860 1
Pr5 Pr 0.4325 0.0052 0.3054 1
Pr6 Pr 0.4863 0.7011 0.1140 1
Pr7 Pr 0.5137 0.2989 0.8860 1
Pr8 Pr 0.5675 0.9948 0.6946 1
Pr9 Pr 0.7011 0.4863 0.6140 1
Pr10 Pr 0.7635 0.1129 0.0546 1
Pr11 Pr 0.8871 0.2365 0.4454 1
Pr12 Pr 0.9948 0.5675 0.1946 1
Ho1 Ho 0.1973 0.2817 0.0502 1
Ho2 Ho 0.2817 0.1973 0.5502 1
Ho3 Ho 0.7183 0.8027 0.4498 1
Ho4 Ho 0.8027 0.7183 0.9498 1
Sc1 Sc 0.0263 0.9737 0.2500 1
Sc2 Sc 0.4152 0.5848 0.7500 1
Sc3 Sc 0.5848 0.4152 0.2500 1
Sc4 Sc 0.9737 0.0263 0.7500 1
```



[9]
The following is a calculated powder X-ray diffraction pattern of KGe4Se7. It was derived from DFT lattice parameters and positions (GGA-PBE), using copper Kα.
Neutral-atom scattering factors, no anomalous dispersion.

Largest 6 diffraction maxima, low angle first, 10 to 90 degrees two-theta:
| Position (°2θ) | d/Å | intensity |
| --- | --- | --- |
| 13.1 | 6.766 | 79 |
| 23.7 | 3.752 | 88 |
| 26.7 | 3.345 | 63 |
| 27.6 | 3.226 | 55 |
| 29.2 | 3.055 | 100 |
| 45.3 | 2.003 | 85 |

Structural model:
```
data_KGe4Se7
_symmetry_space_group_name_H-M 'P 1'
_symmetry_Int_Tables_number 1
_cell_length_a 15.6437
_cell_length_b 6.4526
_cell_length_c 7.5036
_cell_angle_alpha 90.00
_cell_angle_beta 90.00
_cell_angle_gamma 90.00
loop_
_symmetry_equiv_pos_as_xyz
'x,y,z'
loop_
_atom_site_label
_atom_site_type_symbol
_atom_site_fract_x
_atom_site_fract_y
_atom_site_fract_z
_atom_site_occupancy
K1 K 0.0000 0.2007 0.0000 1
K2 K 0.5000 0.7993 0.5000 1
Ge1 Ge 0.1210 0.6955 0.2666 1
Ge2 Ge 0.2396 0.7744 0.7550 1
Ge3 Ge 0.2604 0.2256 0.2550 1
Ge4 Ge 0.3790 0.3045 0.7666 1
Ge5 Ge 0.6210 0.3045 0.7666 1
Ge6 Ge 0.7396 0.2256 0.2550 1
Ge7 Ge 0.7604 0.7744 0.7550 1
Ge8 Ge 0.8790 0.6955 0.2666 1
Se1 Se 0.0000 0.8693 0.4065 1
Se2 Se 0.1044 0.7081 0.9503 1
Se3 Se 0.1213 0.3511 0.3829 1
Se4 Se 0.2483 0.1403 0.8639 1
Se5 Se 0.2517 0.8597 0.3639 1
Se6 Se 0.3787 0.6489 0.8829 1
Se7 Se 0.3956 0.2919 0.4503 1
Se8 Se 0.5000 0.1307 0.9065 1
Se9 Se 0.6044 0.2919 0.4503 1
Se10 Se 0.6213 0.6489 0.8829 1
Se11 Se 0.7483 0.8597 0.3639 1
Se12 Se 0.7517 0.1403 0.8639 1
Se13 Se 0.8787 0.3511 0.3829 1
Se14 Se 0.8956 0.7081 0.9503 1
```



[10]
The following is a calculated powder X-ray diffraction pattern of Ho8MgGe3Te4. It was derived from DFT lattice parameters and positions (GGA-PBE), using copper Kα.
Neutral-atom scattering factors, no anomalous dispersion.

Largest 6 diffraction maxima, low angle first, 10 to 90 degrees two-theta:
| Position (°2θ) | d/Å | intensity |
| --- | --- | --- |
| 29.6 | 3.022 | 100 |
| 42.0 | 2.153 | 36 |
| 42.6 | 2.121 | 37 |
| 52.7 | 1.736 | 19 |
| 69.1 | 1.359 | 14 |
| 70.0 | 1.343 | 16 |

Structural model:
```
data_Ho8MgGe3Te4
_symmetry_space_group_name_H-M 'P 1'
_symmetry_Int_Tables_number 1
_cell_length_a 8.6127
_cell_length_b 8.6127
_cell_length_c 8.6127
_cell_angle_alpha 59.02
_cell_angle_beta 59.02
_cell_angle_gamma 59.02
loop_
_symmetry_equiv_pos_as_xyz
'x,y,z'
loop_
_atom_site_label
_atom_site_type_symbol
_atom_site_fract_x
_atom_site_fract_y
_atom_site_fract_z
_atom_site_occupancy
Ho1 Ho 0.2263 0.7533 0.7533 1
Ho2 Ho 0.2385 0.2385 0.2385 1
Ho3 Ho 0.2467 0.2467 0.7737 1
Ho4 Ho 0.2467 0.7737 0.2467 1
Ho5 Ho 0.7533 0.2263 0.7533 1
Ho6 Ho 0.7533 0.7533 0.2263 1
Ho7 Ho 0.7615 0.7615 0.7615 1
Ho8 Ho 0.7737 0.2467 0.2467 1
Mg1 Mg 0.5000 0.5000 0.5000 1
Ge1 Ge 0.0000 0.0000 0.5000 1
Ge2 Ge 0.0000 0.5000 0.0000 1
Ge3 Ge 0.5000 0.0000 0.0000 1
Te1 Te 0.0000 0.0000 0.0000 1
Te2 Te 0.0000 0.5000 0.5000 1
Te3 Te 0.5000 0.0000 0.5000 1
Te4 Te 0.5000 0.5000 0.0000 1
```